(1)
Diffraction record for Tl2CdNiCl6. The X-ray diffraction stick pattern is calculated, not measured: it uses a PBE-relaxed structure and copper Kα.

Main lines, in order of rising 2θ (2θ from 10° to 90°):
(1 0 7), 22.23 deg, intensity 666; (1 1 0), 25.07 deg, intensity 1000; (0 1 11), 30.39 deg, intensity 291; (2 0 5), 31.52 deg, intensity 323; (0 2 7), 33.76 deg, intensity 657; (2 0 11), 39.80 deg, intensity 250; (2 1 7), 42.51 deg, intensity 235; (3 0 0), 44.19 deg, intensity 278; (2 2 0), 51.48 deg, intensity 446; (4 1 0), 70.13 deg, intensity 195

Crystal structure
Cell lengths 7.1027, 7.1027, 36.8343 Å; angles 90.00, 90.00, 120.00 degrees
Space group R-3m (No. 166, hexagonal axes)
Inequivalent atoms, fractional coordinates:
Tl1 0.0000 0.0000 0.1308 [6 per cell]
Tl2 0.0000 0.0000 0.3015 [6 per cell]
Cd1 0.0000 0.0000 0.4137 [6 per cell]
Ni1 0.0000 0.0000 0.0000 [3 per cell]
Ni2 0.0000 0.0000 0.5000 [3 per cell]
Cl1 0.0131 0.5066 0.7046 [18 per cell]
Cl2 0.0138 0.5069 0.1280 [18 per cell]

(2)
Diffraction record for Cd3ClO2. The X-ray diffraction stick pattern is calculated, not measured: it uses a PBE-relaxed structure and copper Kα.

Main lines, in order of rising 2θ (2θ from 10° to 90°):
(3 1 0), 25.94 deg, intensity 475; (0 2 0), 26.37 deg, intensity 269; (0 0 2), 28.52 deg, intensity 721; (3 1 1), 29.67 deg, intensity 1000; (4 0 0), 29.87 deg, intensity 314; (0 2 1), 30.04 deg, intensity 514; (2 0 2), 32.28 deg, intensity 335; (2 2 1), 33.65 deg, intensity 679; (3 1 3), 51.23 deg, intensity 229; (7 1 1), 57.54 deg, intensity 215

Crystal structure
Cell lengths 11.963, 6.761, 6.260 Å; angles 90.00, 90.00, 90.00 degrees
Space group Cmc2_1 (No. 36)
Inequivalent atoms, fractional coordinates:
Cd1 0.000 0.244 0.000 [4 per cell]
Cd2 0.203 0.366 0.584 [8 per cell]
Cl1 0.000 0.163 0.439 [4 per cell]
O1 0.171 0.337 0.936 [8 per cell]

(3)
Diffraction record for Cd5P3ClO12. The X-ray diffraction stick pattern is calculated, not measured: it uses a PBE-relaxed structure and copper Kα.

Main lines, in order of rising 2θ (2θ from 10° to 90°):
(1 1 1), 22.45 deg, intensity 303; (2 1 0), 27.42 deg, intensity 316; (1 0 2), 29.14 deg, intensity 345; (2 1 1), 30.68 deg, intensity 1000; (3 0 0), 31.18 deg, intensity 945; (1 1 2), 32.72 deg, intensity 741; (2 2 2), 45.82 deg, intensity 283; (1 3 2), 47.09 deg, intensity 475; (2 1 3), 50.28 deg, intensity 274; (4 0 2), 50.75 deg, intensity 296

Crystal structure
Cell lengths 9.9374, 9.9374, 6.5589 Å; angles 90.00, 90.00, 120.00 degrees
Space group P6_3/m (No. 176)
Inequivalent atoms, fractional coordinates:
Cd1 0.0304 0.2767 0.2500 [6 per cell]
Cd2 0.3333 0.6667 0.5043 [4 per cell]
P1 0.0246 0.6202 0.2500 [6 per cell]
Cl1 0.0000 0.0000 0.2500 [2 per cell]
O1 0.0721 0.7282 0.0601 [12 per cell]
O2 0.1329 0.5449 0.2500 [6 per cell]
O3 0.1489 0.5070 0.7500 [6 per cell]